Nd2Sm2CI3Cl2: computed X-ray powder pattern (Cu Kα, 1.54184 Å), based on a cell relaxed with GGA-PBE.

Largest 12 diffraction maxima, by angle, 2θ = 10–80°:
2θ/deg, intensity
10.07, 18
12.73, 13
20.56, 16
27.67, 21
30.19, 100
30.52, 31
33.41, 13
35.16, 16
43.14, 18
43.79, 21
45.27, 13
55.56, 16

Structural model:
Cell lengths 9.235, 9.235, 8.782 Å; angles 102.57, 102.57, 25.05 degrees
Element x y z (fractional)
Nd  0.143  0.143  0.069
Nd  0.857  0.857  0.931
Sm  0.496  0.496  0.191
Sm  0.504  0.504  0.809
C  0.000  0.000  0.000
I  0.000  0.000  0.500
I  0.329  0.329  0.650
I  0.671  0.671  0.350
Cl  0.332  0.332  0.149
Cl  0.668  0.668  0.851